# 1
Diffraction record for SrBO2. The XRD peak list is theoretical, not measured: it uses a structure optimized by DFT (PBE) and λ = 1.5418 Å (Cu Kα).

Most intense lines, 2θ from 10° to 90°, in order of falling intensity:
2θ/deg, intensity
22.50, 100
35.13, 66
23.07, 59
22.29, 43
36.64, 36
27.99, 31
44.32, 30
31.08, 29
36.36, 23
30.82, 21

Atomic structure:
Cell lengths 6.2342, 5.4147, 8.3507 Å; angles 90.00, 112.60, 90.00 degrees
Atoms (fractional coordinates):
Sr (0.2350, 0.1126, 0.2815)
Sr (0.2350, 0.3874, 0.7815)
Sr (0.7650, 0.6126, 0.2185)
Sr (0.7650, 0.8874, 0.7185)
B (0.4257, 0.6148, 0.4216)
B (0.4257, 0.8852, 0.9216)
B (0.5743, 0.1148, 0.0784)
B (0.5743, 0.3852, 0.5784)
O (0.1879, 0.6111, 0.3370)
O (0.1879, 0.8889, 0.8370)
O (0.4406, 0.1997, 0.6071)
O (0.4406, 0.3003, 0.1071)
O (0.5594, 0.6997, 0.8929)
O (0.5594, 0.8003, 0.3929)
O (0.8121, 0.1111, 0.1630)
O (0.8121, 0.3889, 0.6630)

---

# 2
Diffraction record for AcTb4Sm6. The XRD peak list is theoretical, not measured: it uses a structure optimized by DFT (PBE) and λ = 1.5418 Å (Cu Kα).

Most intense lines, 2θ from 10° to 90°, in order of falling intensity:
2θ/deg, intensity
29.93, 100
31.52, 49
31.32, 45
32.84, 40
30.36, 40
43.17, 30
27.63, 15
56.42, 14
54.17, 11
53.81, 11

Atomic structure:
Cell lengths 5.7191, 5.7191, 25.8388 Å; angles 90.00, 90.00, 117.11 degrees
Atoms (fractional coordinates):
Ac (0.2207, 0.7793, 0.7500)
Ac (0.7793, 0.2207, 0.2500)
Tb (0.1478, 0.8522, 0.0426)
Tb (0.1478, 0.8522, 0.4574)
Tb (0.4478, 0.5522, 0.1230)
Tb (0.4478, 0.5522, 0.3770)
Tb (0.5522, 0.4478, 0.6230)
Tb (0.5522, 0.4478, 0.8770)
Tb (0.8522, 0.1478, 0.5426)
Tb (0.8522, 0.1478, 0.9574)
Sm (0.1143, 0.8857, 0.1794)
Sm (0.1143, 0.8857, 0.3206)
Sm (0.2051, 0.7949, 0.5980)
Sm (0.2051, 0.7949, 0.9020)
Sm (0.4371, 0.5629, 0.2500)
Sm (0.5000, 0.5000, 0.0000)
Sm (0.5000, 0.5000, 0.5000)
Sm (0.5629, 0.4371, 0.7500)
Sm (0.7949, 0.2051, 0.0980)
Sm (0.7949, 0.2051, 0.4020)
Sm (0.8857, 0.1143, 0.6794)
Sm (0.8857, 0.1143, 0.8206)

---

# 3
Diffraction record for CoGe6Ru3. The XRD peak list is theoretical, not measured: it uses a structure optimized by DFT (PBE) and λ = 1.5418 Å (Cu Kα).

Most intense lines, 2θ from 10° to 90°, in order of falling intensity:
2θ/deg, intensity
45.49, 100
46.86, 89
33.59, 74
44.23, 68
35.42, 65
35.27, 63
32.25, 58
42.79, 56
45.72, 44
40.63, 43

Atomic structure:
Cell lengths 6.2271, 6.3515, 8.8365 Å; angles 90.00, 114.57, 90.00 degrees
Atoms (fractional coordinates):
Co (0.0000, 0.0000, 0.0000)
Co (0.0000, 0.5000, 0.5000)
Ge (0.0914, 0.0218, 0.2833)
Ge (0.0914, 0.4782, 0.7833)
Ge (0.2289, 0.6964, 0.0840)
Ge (0.2289, 0.8036, 0.5840)
Ge (0.4063, 0.1346, 0.0730)
Ge (0.4063, 0.3654, 0.5730)
Ge (0.5937, 0.6346, 0.4270)
Ge (0.5937, 0.8654, 0.9270)
Ge (0.7711, 0.1964, 0.4160)
Ge (0.7711, 0.3036, 0.9160)
Ge (0.9086, 0.5218, 0.2167)
Ge (0.9086, 0.9782, 0.7167)
Ru (0.2867, 0.1377, 0.7549)
Ru (0.2867, 0.3623, 0.2549)
Ru (0.5000, 0.0000, 0.5000)
Ru (0.5000, 0.5000, 0.0000)
Ru (0.7133, 0.6377, 0.7451)
Ru (0.7133, 0.8623, 0.2451)